Entry 1:
Starting from a cell relaxed with GGA-PBE, the powder diffraction line list of Ac2ThP3 was simulated for a wavelength of 1.5418 Å.

Largest 8 diffraction maxima, in order of rising 2θ, 5° ≤ 2θ ≤ 70°:
25.17°, intensity 100.0
29.15°, intensity 93.2
41.69°, intensity 71.0
49.32°, intensity 52.9
51.67°, intensity 25.5
60.43°, intensity 12.0
66.51°, intensity 22.3
68.47°, intensity 33.0

Structure:
a = 8.670 Å, b = 12.256 Å, c = 25.985 Å
α = 90.00°, β = 90.00°, γ = 90.00°
Space group Fddd (No. 70, origin choice 2)
Unique sites:
1 Ac 0.125 0.125 0.043 [16 per cell]
2 Ac 0.125 0.125 0.374 [16 per cell]
3 Th 0.125 0.125 0.541 [16 per cell]
4 P 0.108 0.375 0.875 [16 per cell]
5 P 0.117 0.367 0.711 [32 per cell]

Entry 2:
Starting from a cell relaxed with GGA-PBE, the powder diffraction line list of AcTh2UP4 was simulated for a wavelength of 1.5418 Å.

Largest 7 diffraction maxima, in order of rising 2θ, 5° ≤ 2θ ≤ 70°:
26.18°, intensity 100.0
30.32°, intensity 92.5
43.40°, intensity 69.9
51.39°, intensity 51.6
53.86°, intensity 24.9
63.06°, intensity 11.7
69.48°, intensity 21.6

Structure:
a = 5.898 Å, b = 5.898 Å, c = 11.786 Å
α = 90.00°, β = 90.00°, γ = 90.00°
Space group I-4m2 (No. 119)
Unique sites:
1 Ac 0.000 0.000 0.000 [2 per cell]
2 Th 0.000 0.000 0.500 [2 per cell]
3 Th 0.000 0.500 0.250 [2 per cell]
4 U 0.000 0.500 0.750 [2 per cell]
5 P 0.000 0.000 0.256 [4 per cell]
6 P 0.000 0.500 0.507 [4 per cell]

Entry 3:
Starting from a cell relaxed with GGA-PBE, the powder diffraction line list of AcZnP2 was simulated for a wavelength of 1.5418 Å.

Largest 10 diffraction maxima, in order of rising 2θ, 5° ≤ 2θ ≤ 70°:
12.19°, intensity 42.3
23.21°, intensity 100.0
24.52°, intensity 17.6
27.25°, intensity 39.7
29.95°, intensity 24.4
38.07°, intensity 36.2
39.76°, intensity 25.7
45.06°, intensity 17.4
45.81°, intensity 21.1
47.27°, intensity 19.4

Structure:
a = 4.7274 Å, b = 4.7274 Å, c = 21.7809 Å
α = 90.00°, β = 90.00°, γ = 120.00°
Space group R-3m (No. 166, hexagonal axes)
Unique sites:
1 Ac 0.0000 0.0000 0.0000 [3 per cell]
2 Zn 0.0000 0.0000 0.5000 [3 per cell]
3 P 0.0000 0.0000 0.3984 [6 per cell]

Entry 4:
Starting from a cell relaxed with GGA-PBE, the powder diffraction line list of AcZn8P6 was simulated for a wavelength of 1.5418 Å.

Largest 10 diffraction maxima, in order of rising 2θ, 5° ≤ 2θ ≤ 70°:
19.32°, intensity 47.0
24.90°, intensity 47.5
27.58°, intensity 75.9
27.72°, intensity 38.5
30.58°, intensity 61.3
30.95°, intensity 49.4
31.59°, intensity 32.3
36.53°, intensity 38.3
42.12°, intensity 100.0
46.47°, intensity 29.1

Structure:
a = 7.4324 Å, b = 7.4324 Å, c = 13.1254 Å
α = 90.00°, β = 90.00°, γ = 120.00°
Space group P6_3cm (No. 185)
Unique sites:
1 Ac 0.0000 0.0000 0.0000 [2 per cell]
2 Zn 0.0000 0.3077 0.2959 [6 per cell]
3 Zn 0.0000 0.4202 0.6513 [6 per cell]
4 Zn 0.3333 0.6667 0.4242 [4 per cell]
5 P 0.0000 0.0000 0.2391 [2 per cell]
6 P 0.0000 0.3970 0.4734 [6 per cell]
7 P 0.3333 0.6667 0.2312 [4 per cell]

Entry 5:
Starting from a cell relaxed with GGA-PBE, the powder diffraction line list of Ac2ZnP was simulated for a wavelength of 1.5418 Å.

Largest 10 diffraction maxima, in order of rising 2θ, 5° ≤ 2θ ≤ 70°:
21.86°, intensity 25.8
24.14°, intensity 62.7
24.96°, intensity 19.3
28.04°, intensity 48.8
30.16°, intensity 100.0
35.24°, intensity 25.7
41.95°, intensity 47.8
44.37°, intensity 23.5
47.75°, intensity 36.9
52.53°, intensity 21.6

Structure:
a = 4.3071 Å, b = 4.3071 Å, c = 24.3986 Å
α = 90.00°, β = 90.00°, γ = 120.00°
Space group R3m (No. 160, hexagonal axes)
Unique sites:
1 Ac 0.0000 0.0000 0.0000 [3 per cell]
2 Ac 0.0000 0.0000 0.1878 [3 per cell]
3 Zn 0.0000 0.0000 0.7612 [3 per cell]
4 P 0.0000 0.0000 0.5941 [3 per cell]

Entry 6:
Starting from a cell relaxed with GGA-PBE, the powder diffraction line list of AcPa6 was simulated for a wavelength of 1.5418 Å.

Largest 10 diffraction maxima, in order of rising 2θ, 5° ≤ 2θ ≤ 70°:
16.20°, intensity 21.8
22.98°, intensity 41.3
28.25°, intensity 100.0
40.37°, intensity 37.3
43.77°, intensity 62.9
46.96°, intensity 35.4
52.91°, intensity 18.3
55.71°, intensity 15.7
66.13°, intensity 19.0
68.59°, intensity 23.5

Structure:
a = 7.739 Å, b = 7.739 Å, c = 7.739 Å
α = 90.00°, β = 90.00°, γ = 90.00°
Space group Im-3m (No. 229)
Unique sites:
1 Ac 0.000 0.000 0.000 [2 per cell]
2 Pa 0.000 0.250 0.500 [12 per cell]

Entry 7:
Starting from a cell relaxed with GGA-PBE, the powder diffraction line list of AcPaPd4 was simulated for a wavelength of 1.5418 Å.

Largest 8 diffraction maxima, in order of rising 2θ, 5° ≤ 2θ ≤ 70°:
19.58°, intensity 5.2
32.24°, intensity 54.4
38.00°, intensity 100.0
39.76°, intensity 19.4
50.66°, intensity 1.7
57.48°, intensity 21.8
61.33°, intensity 33.2
67.46°, intensity 25.4

Structure:
a = 7.854 Å, b = 7.854 Å, c = 7.854 Å
α = 90.00°, β = 90.00°, γ = 90.00°
Space group F-43m (No. 216)
Unique sites:
1 Ac 0.000 0.000 0.000 [4 per cell]
2 Pa 0.250 0.250 0.750 [4 per cell]
3 Pd 0.124 0.124 0.376 [16 per cell]

Entry 8:
Starting from a cell relaxed with GGA-PBE, the powder diffraction line list of AcPaPt was simulated for a wavelength of 1.5418 Å.

Largest 10 diffraction maxima, in order of rising 2θ, 5° ≤ 2θ ≤ 70°:
18.64°, intensity 10.0
28.85°, intensity 100.0
37.80°, intensity 18.1
38.28°, intensity 52.6
42.90°, intensity 7.3
48.63°, intensity 24.5
54.89°, intensity 37.9
62.87°, intensity 11.6
63.52°, intensity 22.4
69.20°, intensity 9.6

Structure:
a = 4.7030 Å, b = 4.7030 Å, c = 4.7594 Å
α = 90.00°, β = 90.00°, γ = 120.00°
Space group P-6m2 (No. 187)
Unique sites:
1 Ac 0.0000 0.0000 0.0000 [1 per cell]
2 Pa 0.6667 0.3333 0.5000 [1 per cell]
3 Pt 0.3333 0.6667 0.5000 [1 per cell]

Entry 9:
Starting from a cell relaxed with GGA-PBE, the powder diffraction line list of Rb3Ac3PaSe8 was simulated for a wavelength of 1.5418 Å.

Largest 10 diffraction maxima, in order of rising 2θ, 5° ≤ 2θ ≤ 70°:
10.88°, intensity 60.6
22.95°, intensity 15.1
23.81°, intensity 12.6
27.01°, intensity 100.0
34.41°, intensity 20.4
37.34°, intensity 34.6
39.78°, intensity 37.5
41.36°, intensity 15.0
48.74°, intensity 19.3
64.66°, intensity 16.3

Structure:
a = 9.0645 Å, b = 9.0645 Å, c = 24.3993 Å
α = 90.00°, β = 90.00°, γ = 120.00°
Space group R-3m (No. 166, hexagonal axes)
Unique sites:
1 Rb 0.0000 0.5000 0.0000 [9 per cell]
2 Ac 0.0000 0.5000 0.5000 [9 per cell]
3 Pa 0.0000 0.0000 0.5000 [3 per cell]
4 Se 0.0000 0.0000 0.2359 [6 per cell]
5 Se 0.0225 0.5112 0.2313 [18 per cell]

Entry 10:
Starting from a cell relaxed with GGA-PBE, the powder diffraction line list of Ac3PaRh3 was simulated for a wavelength of 1.5418 Å.

Largest 10 diffraction maxima, in order of rising 2θ, 5° ≤ 2θ ≤ 70°:
10.52°, intensity 13.7
25.96°, intensity 44.1
30.07°, intensity 100.0
38.62°, intensity 3.8
43.04°, intensity 73.9
49.70°, intensity 3.3
50.95°, intensity 24.0
53.39°, intensity 25.7
62.50°, intensity 11.7
68.85°, intensity 10.5

Structure:
a = 11.887 Å, b = 11.887 Å, c = 11.891 Å
α = 90.00°, β = 90.00°, γ = 90.00°
Space group I4_122 (No. 98)
Unique sites:
1 Ac 0.119 0.125 0.244 [16 per cell]
2 Ac 0.131 0.631 0.750 [8 per cell]
3 Pa 0.125 0.625 0.250 [8 per cell]
4 Rh 0.111 0.111 0.000 [8 per cell]
5 Rh 0.125 0.639 0.014 [16 per cell]

> What is the formula in the third record?

AcZnP2